Structure and computed powder XRD pattern of Co4PbO9 (a crystal structure in OQMD, relaxed with GGA+U; Cu Kα).

Atomic structure:
Unit cell a=6.309 b=6.309 c=4.891 alpha=104.37 beta=104.37 gamma=113.37
Element x y z (fractional)
Co (0.000, 0.000, 0.000)
Co (0.033, 0.535, 0.184)
Co (0.465, 0.967, 0.816)
Co (0.859, 0.141, 0.500)
Pb (0.547, 0.453, 0.500)
O (0.071, 0.300, 0.911)
O (0.143, 0.164, 0.413)
O (0.325, 0.099, 0.025)
O (0.337, 0.663, 0.500)
O (0.602, 0.150, 0.612)
O (0.700, 0.929, 0.089)
O (0.836, 0.857, 0.587)
O (0.850, 0.398, 0.388)
O (0.901, 0.675, 0.975)

Most intense lines, 15 to 90 degrees two-theta, sorted by position:
5.333 Å, 2θ 16.6, intensity 41; 4.363 Å, 2θ 20.4, intensity 25; 4.296 Å, 2θ 20.7, intensity 100; 3.330 Å, 2θ 26.8, intensity 54; 3.055 Å, 2θ 29.2, intensity 38; 2.872 Å, 2θ 31.1, intensity 73; 2.816 Å, 2θ 31.8, intensity 92; 2.667 Å, 2θ 33.6, intensity 53; 2.256 Å, 2θ 40.0, intensity 37; 2.016 Å, 2θ 45.0, intensity 25